The following is a computed X-ray powder pattern of Li3FeBPO7. It was derived from the GGA+U geometry in Alexandria, using Cu Ka.

Largest 10 diffraction maxima, in order of falling intensity, 2θ from 15° to 90°:
2theta	Rel. int.	index
27.72	100.0	0 2 0
21.39	55.7	1 0 1
26.36	46.8	1 0 -2
19.70	46.6	1 0 -1
17.36	46.2	0 1 1
57.22	24.4	0 4 0
40.80	24.4	1 1 3
28.92	19.6	1 0 2
58.14	19.3	1 3 3
36.27	18.9	2 0 -1

Atomic structure:
```
data_Li3FeBPO7
_cell_length_a 5.060
_cell_length_b 6.437
_cell_length_c 8.428
_cell_angle_alpha 90.00
_cell_angle_beta 95.29
_cell_angle_gamma 90.00
_symmetry_space_group_name_H-M 'P 1 21/m 1'
_symmetry_Int_Tables_number 11
loop_
_symmetry_equiv_pos_as_xyz
'x,y,z'
'-x,-y,-z'
'-x,y+1/2,-z'
'x,-y+1/2,z'
loop_
_atom_site_label
_atom_site_type_symbol
_atom_site_fract_x
_atom_site_fract_y
_atom_site_fract_z
Li1 Li 0.238 0.015 0.278
Li2 Li 0.247 0.250 0.599
Fe1 Fe 0.223 0.750 0.830
B1 B 0.286 0.750 0.543
P1 P 0.261 0.250 0.921
O1 O 0.028 0.750 0.592
O2 O 0.133 0.250 0.079
O3 O 0.175 0.063 0.812
O4 O 0.351 0.750 0.391
O5 O 0.433 0.750 0.040
O6 O 0.486 0.750 0.672
```